K4MgW3O12: theoretical powder diffraction line list (Cu Kα), based on a crystal structure in Alexandria, relaxed with GGA+U.
Peak positions follow from Bragg's law for the DFT cell and can differ from measured ones.

Most intense lines, 2θ from 5° to 70°, low angle first:
17.37 deg, intensity 100, hkl 1 1 0
18.42 deg, intensity 54, hkl 1 0 -2
21.00 deg, intensity 58, hkl 1 1 -2
25.63 deg, intensity 56, hkl -2 2 1
27.03 deg, intensity 40, hkl 1 -2 2
27.73 deg, intensity 62, hkl 0 1 -3
28.06 deg, intensity 59, hkl 0 3 -1
28.31 deg, intensity 51, hkl 0 2 2
28.59 deg, intensity 50, hkl 2 1 0
28.69 deg, intensity 71, hkl -1 3 1

Crystal structure
a b c (Å): 8.054 10.059 10.241
angles (deg): 94.01 106.90 105.84
Sites, in units of the cell vectors:
1 K 0.000 0.000 0.000
2 K 0.140 0.884 0.564
3 K 0.247 0.473 0.529
4 K 0.288 0.777 0.243
5 K 0.500 0.000 0.000
6 K 0.712 0.223 0.757
7 K 0.753 0.527 0.471
8 K 0.860 0.116 0.436
9 Mg 0.333 0.445 0.127
10 Mg 0.667 0.555 0.873
11 W 0.113 0.604 0.850
12 W 0.267 0.262 0.820
13 W 0.377 0.187 0.360
14 W 0.623 0.813 0.640
15 W 0.733 0.738 0.180
16 W 0.887 0.396 0.150
17 O 0.054 0.267 0.701
18 O 0.104 0.624 0.675
19 O 0.116 0.494 0.152
20 O 0.183 0.776 0.951
21 O 0.205 0.141 0.443
22 O 0.267 0.264 0.000
23 O 0.281 0.514 0.925
24 O 0.284 0.089 0.782
25 O 0.327 0.050 0.216
26 O 0.385 0.359 0.305
27 O 0.402 0.792 0.515
28 O 0.465 0.378 0.784
29 O 0.535 0.622 0.216
30 O 0.598 0.208 0.485
31 O 0.615 0.641 0.695
32 O 0.673 0.950 0.784
33 O 0.716 0.911 0.218
34 O 0.719 0.486 0.075
35 O 0.733 0.736 0.000
36 O 0.795 0.859 0.557
37 O 0.817 0.224 0.049
38 O 0.884 0.506 0.848
39 O 0.896 0.376 0.325
40 O 0.946 0.733 0.299